Structure and theoretical XRD peak list of PmPr4Nd8 (a crystal structure in Alexandria, relaxed with GGA-PBE; a wavelength of 1.5418 Å).

Atomic structure:
Cell lengths 7.943, 7.943, 7.943 Å; angles 97.54, 97.54, 97.54 degrees
Element x y z (fractional)
1 Pm 0.000 0.000 0.000
2 Pr 0.000 0.000 0.500
3 Pr 0.000 0.500 0.000
4 Pr 0.500 0.000 0.000
5 Pr 0.500 0.500 0.500
6 Nd 0.169 0.665 0.665
7 Nd 0.258 0.258 0.258
8 Nd 0.335 0.335 0.831
9 Nd 0.335 0.831 0.335
10 Nd 0.665 0.169 0.665
11 Nd 0.665 0.665 0.169
12 Nd 0.742 0.742 0.742
13 Nd 0.831 0.335 0.335

Largest 12 diffraction maxima, in order of rising 2θ, 2θ = 10–90°:
- 22.6°, d 3.938, I = 30
- 27.1°, d 3.288, I = 17
- 29.9°, d 2.987, I = 100
- 34.6°, d 2.595, I = 9
- 37.8°, d 2.380, I = 47
- 38.2°, d 2.357, I = 9
- 53.1°, d 1.724, I = 20
- 55.9°, d 1.644, I = 17
- 58.4°, d 1.580, I = 13
- 62.2°, d 1.493, I = 12
- 67.0°, d 1.396, I = 9
- 86.1°, d 1.129, I = 10

---

Structure and theoretical XRD peak list of Pm3PrNd4 (a crystal structure in Alexandria, relaxed with GGA-PBE; a wavelength of 1.5418 Å).

Atomic structure:
Cell lengths 10.393, 7.349, 7.344 Å; angles 90.00, 90.00, 90.00 degrees
Element x y z (fractional)
1 Pm 0.000 0.000 0.000
2 Pm 0.250 0.249 0.250
3 Pm 0.250 0.751 0.750
4 Pm 0.500 0.000 0.500
5 Pm 0.750 0.249 0.250
6 Pm 0.750 0.751 0.750
7 Pr 0.000 0.500 0.500
8 Pr 0.500 0.500 0.000
9 Nd 0.000 0.000 0.500
10 Nd 0.000 0.500 0.000
11 Nd 0.250 0.249 0.750
12 Nd 0.250 0.751 0.250
13 Nd 0.500 0.000 0.000
14 Nd 0.500 0.500 0.500
15 Nd 0.750 0.249 0.750
16 Nd 0.750 0.751 0.250

Largest 8 diffraction maxima, in order of rising 2θ, 2θ = 10–90°:
- 29.8°, d 2.999, I = 100
- 34.5°, d 2.598, I = 51
- 49.6°, d 1.837, I = 36
- 59.0°, d 1.566, I = 43
- 61.9°, d 1.500, I = 12
- 72.8°, d 1.299, I = 6
- 80.6°, d 1.192, I = 18
- 83.2°, d 1.162, I = 16

---

Structure and theoretical XRD peak list of PmPr7Nd4 (a crystal structure in Alexandria, relaxed with GGA-PBE; a wavelength of 1.5418 Å).

Atomic structure:
Cell lengths 6.398, 7.398, 9.781 Å; angles 79.18, 71.19, 90.00 degrees
Element x y z (fractional)
1 Pm 0.000 0.000 0.000
2 Pr 0.000 0.333 0.667
3 Pr 0.000 0.500 0.000
4 Pr 0.000 0.667 0.333
5 Pr 0.500 0.083 0.667
6 Pr 0.500 0.250 0.000
7 Pr 0.500 0.750 0.000
8 Pr 0.500 0.917 0.333
9 Nd 0.000 0.167 0.333
10 Nd 0.000 0.833 0.667
11 Nd 0.500 0.416 0.334
12 Nd 0.500 0.584 0.666

Largest 12 diffraction maxima, in order of rising 2θ, 2θ = 10–90°:
- 29.6°, d 3.020, I = 100
- 34.2°, d 2.620, I = 34
- 34.4°, d 2.608, I = 17
- 49.1°, d 1.855, I = 6
- 49.3°, d 1.849, I = 30
- 58.4°, d 1.580, I = 15
- 58.5°, d 1.578, I = 15
- 58.6°, d 1.574, I = 11
- 61.3°, d 1.512, I = 6
- 61.5°, d 1.509, I = 6
- 79.9°, d 1.200, I = 6
- 80.0°, d 1.199, I = 9

---

Structure and theoretical XRD peak list of Pm2PrNd5 (a crystal structure in Alexandria, relaxed with GGA-PBE; a wavelength of 1.5418 Å).

Atomic structure:
Cell lengths 7.355, 14.707, 5.200 Å; angles 90.00, 90.00, 90.00 degrees
Element x y z (fractional)
1 Pm 0.249 0.125 0.000
2 Pm 0.251 0.625 0.000
3 Pm 0.749 0.375 0.000
4 Pm 0.751 0.875 0.000
5 Pr 0.000 0.000 0.500
6 Pr 0.500 0.500 0.500
7 Nd 0.000 0.500 0.500
8 Nd 0.001 0.750 0.500
9 Nd 0.249 0.375 0.000
10 Nd 0.251 0.875 0.000
11 Nd 0.499 0.250 0.500
12 Nd 0.500 0.000 0.500
13 Nd 0.501 0.750 0.500
14 Nd 0.749 0.125 0.000
15 Nd 0.751 0.625 0.000
16 Nd 0.999 0.250 0.500

Largest 8 diffraction maxima, in order of rising 2θ, 2θ = 10–90°:
- 29.8°, d 3.002, I = 100
- 34.5°, d 2.600, I = 51
- 49.6°, d 1.839, I = 36
- 58.9°, d 1.568, I = 43
- 61.8°, d 1.501, I = 12
- 72.7°, d 1.300, I = 6
- 80.5°, d 1.193, I = 18
- 83.1°, d 1.163, I = 16